1.
Diffraction record for LaPrCd4Fe2. The PXRD pattern is simulated, not measured: it uses a structure optimized by DFT (PBE) and copper Kα.
Lines closer than 0.1° are merged.

Crystal structure
abc: 8.277 4.269 9.961
angles: 90.00 90.00 90.00
Space group Amm2 (No. 38)
One atom of each set of equivalent atoms:
La 0.000 0.000 0.000 [2 per cell]
Pr 0.500 0.000 0.116 [2 per cell]
Cd 0.202 0.000 0.704 [4 per cell]
Cd 0.302 0.000 0.409 [4 per cell]
Fe 0.000 0.000 0.266 [2 per cell]
Fe 0.500 0.000 0.838 [2 per cell]

Top 8 peaks for 10° ≤ 2θ ≤ 90°, by angle:
2θ (°)	intensity
31.4	100
34.2	36
35.9	40
37.3	29
37.7	23
39.9	19
42.4	45
61.4	28

2.
Diffraction record for AgAsF7. The PXRD pattern is simulated, not measured: it uses a structure optimized by DFT (PBE) and copper Kα.
Lines closer than 0.1° are merged.

Crystal structure
abc: 7.250 6.765 9.405
angles: 90.00 90.00 90.00
Space group Pnma (No. 62)
One atom of each set of equivalent atoms:
Ag 0.143 0.250 0.240 [4 per cell]
As 0.197 0.750 0.067 [4 per cell]
F 0.031 0.250 0.001 [4 per cell]
F 0.080 0.250 0.630 [4 per cell]
F 0.102 0.750 0.656 [4 per cell]
F 0.125 0.572 0.193 [8 per cell]
F 0.247 0.061 0.443 [8 per cell]

Top 8 peaks for 10° ≤ 2θ ≤ 90°, by angle:
2θ (°)	intensity
16.1	41
20.3	58
22.5	24
26.3	100
31.5	48
33.9	37
34.9	21
49.8	24

3.
Diffraction record for SnMo4SN2. The PXRD pattern is simulated, not measured: it uses a structure optimized by DFT (PBE) and copper Kα.
Lines closer than 0.1° are merged.

Crystal structure
abc: 3.3065 3.3065 11.9034
angles: 90.00 90.00 120.00
Space group P-6m2 (No. 187)
One atom of each set of equivalent atoms:
Sn 0.0000 0.0000 0.0000 [1 per cell]
Mo 0.0000 0.0000 0.3574 [2 per cell]
Mo 0.6667 0.3333 0.1931 [2 per cell]
S 0.6667 0.3333 0.5000 [1 per cell]
N 0.3333 0.6667 0.2558 [2 per cell]

Top 8 peaks for 10° ≤ 2θ ≤ 90°, by angle:
2θ (°)	intensity
31.2	31
34.8	20
38.8	100
55.6	29
69.2	10
69.8	17
71.4	11
74.7	10

4.
Diffraction record for Dy2HoNi2. The PXRD pattern is simulated, not measured: it uses a structure optimized by DFT (PBE) and copper Kα.
Lines closer than 0.1° are merged.

Crystal structure
abc: 13.240 3.633 9.462
angles: 90.00 105.40 90.00
Space group C2/m (No. 12)
One atom of each set of equivalent atoms:
Dy 0.097 0.000 0.173 [4 per cell]
Dy 0.144 0.500 0.868 [4 per cell]
Ho 0.132 0.500 0.498 [4 per cell]
Ni 0.035 0.000 0.644 [4 per cell]
Ni 0.244 0.000 0.727 [4 per cell]

Top 8 peaks for 10° ≤ 2θ ≤ 90°, by angle:
2θ (°)	intensity
28.0	40
29.4	45
32.4	42
33.4	91
34.9	100
35.5	37
42.2	37
50.2	29

5.
Diffraction record for Ho5S6. The PXRD pattern is simulated, not measured: it uses a structure optimized by DFT (PBE) and copper Kα.
Lines closer than 0.1° are merged.

Crystal structure
abc: 6.721 11.606 6.689
angles: 90.00 109.47 90.00
Space group C2/m (No. 12)
One atom of each set of equivalent atoms:
Ho 0.000 0.000 0.000 [2 per cell]
Ho 0.000 0.166 0.500 [4 per cell]
Ho 0.000 0.337 0.000 [4 per cell]
S 0.250 0.000 0.746 [4 per cell]
S 0.250 0.167 0.249 [8 per cell]

Top 8 peaks for 10° ≤ 2θ ≤ 90°, by angle:
2θ (°)	intensity
28.2	55
28.3	17
32.7	100
46.9	36
47.0	36
55.7	23
58.4	12
68.6	11

6.
Diffraction record for ErGaPt. The PXRD pattern is simulated, not measured: it uses a structure optimized by DFT (PBE) and copper Kα.
Lines closer than 0.1° are merged.

Crystal structure
abc: 6.840 4.428 7.664
angles: 90.00 90.00 90.00
Space group Pnma (No. 62)
One atom of each set of equivalent atoms:
Er 0.014 0.250 0.199 [4 per cell]
Ga 0.175 0.250 0.577 [4 per cell]
Pt 0.224 0.750 0.404 [4 per cell]

Top 8 peaks for 10° ≤ 2θ ≤ 90°, by angle:
2θ (°)	intensity
26.7	34
33.6	27
35.2	100
40.8	72
46.3	13
54.9	19
69.5	12
70.6	16

7.
Diffraction record for Li8Ta4O11. The PXRD pattern is simulated, not measured: it uses a structure optimized by DFT (PBE) and copper Kα.
Lines closer than 0.1° are merged.

Crystal structure
abc: 5.052 5.233 8.998
angles: 74.53 89.44 81.30
Space group P1 (No. 1)
One atom of each set of equivalent atoms:
Li 0.000 0.000 0.000 [1 per cell]
Li 0.011 0.982 0.319 [1 per cell]
Li 0.031 0.978 0.640 [1 per cell]
Li 0.265 0.482 0.568 [1 per cell]
Li 0.481 0.003 0.812 [1 per cell]
Li 0.508 0.984 0.488 [1 per cell]
Li 0.522 0.988 0.144 [1 per cell]
Li 0.759 0.467 0.075 [1 per cell]
Ta 0.236 0.485 0.242 [1 per cell]
Ta 0.260 0.495 0.891 [1 per cell]
Ta 0.741 0.478 0.747 [1 per cell]
Ta 0.789 0.483 0.396 [1 per cell]
O 0.134 0.250 0.780 [1 per cell]
O 0.147 0.217 0.444 [1 per cell]
O 0.150 0.253 0.112 [1 per cell]
O 0.348 0.723 0.020 [1 per cell]
O 0.393 0.713 0.349 [1 per cell]
O 0.403 0.751 0.691 [1 per cell]
O 0.634 0.254 0.284 [1 per cell]
O 0.636 0.214 0.938 [1 per cell]
O 0.665 0.249 0.610 [1 per cell]
O 0.877 0.715 0.523 [1 per cell]
O 0.878 0.746 0.188 [1 per cell]

Top 8 peaks for 10° ≤ 2θ ≤ 90°, by angle:
2θ (°)	intensity
17.8	100
20.5	23
20.8	23
23.3	18
35.4	34
36.0	29
42.5	20
43.0	37

8.
Diffraction record for Cs2KAg3As2. The PXRD pattern is simulated, not measured: it uses a structure optimized by DFT (PBE) and copper Kα.
Lines closer than 0.1° are merged.

Crystal structure
abc: 6.4346 6.4346 21.8984
angles: 90.00 90.00 120.00
Space group R-3m (No. 166, hexagonal axes)
One atom of each set of equivalent atoms:
Cs 0.0000 0.0000 0.0914 [6 per cell]
K 0.0000 0.0000 0.5000 [3 per cell]
Ag 0.0000 0.5000 0.0000 [9 per cell]
As 0.0000 0.0000 0.2524 [6 per cell]

Top 8 peaks for 10° ≤ 2θ ≤ 90°, by angle:
2θ (°)	intensity
12.1	76
25.9	100
27.7	57
32.4	85
33.2	33
37.3	98
47.9	36
57.3	38

9.
Diffraction record for Ho3Co2B2P3. The PXRD pattern is simulated, not measured: it uses a structure optimized by DFT (PBE) and copper Kα.
Lines closer than 0.1° are merged.

Crystal structure
abc: 3.842 3.842 21.772
angles: 90.00 90.00 90.00
Space group I4/mmm (No. 139)
One atom of each set of equivalent atoms:
Ho 0.000 0.000 0.000 [2 per cell]
Ho 0.000 0.000 0.362 [4 per cell]
Co 0.000 0.500 0.250 [4 per cell]
B 0.000 0.000 0.215 [4 per cell]
P 0.000 0.000 0.124 [4 per cell]
P 0.000 0.000 0.500 [2 per cell]

Top 8 peaks for 10° ≤ 2θ ≤ 90°, by angle:
2θ (°)	intensity
26.2	100
32.9	95
37.0	28
41.5	53
47.3	65
54.9	28
58.8	33
78.8	27

10.
Diffraction record for Re17Ni12. The PXRD pattern is simulated, not measured: it uses a structure optimized by DFT (PBE) and copper Kα.
Lines closer than 0.1° are merged.

Crystal structure
abc: 9.114 9.114 9.114
angles: 90.00 90.00 90.00
Space group I-43m (No. 217)
One atom of each set of equivalent atoms:
Re 0.000 0.000 0.000 [2 per cell]
Re 0.048 0.362 0.638 [24 per cell]
Re 0.175 0.175 0.175 [8 per cell]
Ni 0.091 0.091 0.724 [24 per cell]

Top 8 peaks for 10° ≤ 2θ ≤ 90°, by angle:
2θ (°)	intensity
23.9	14
39.6	9
42.1	100
46.8	12
49.0	11
51.1	7
61.0	6
76.9	24